# 1
Simulated XRD peak list
Compound: Tb3Ho5Tm2
Radiation: CuKα
Structure: a cell relaxed with PBE
Lines closer than 0.1° are merged.

Atomic structure:
a b c (Å): 10.592 15.583 9.377
angles (deg): 90.00 124.20 90.00
Space group C2/c (No. 15)
One atom of each set of equivalent atoms:
Tb 0.000 0.233 0.250 x4
Tb 0.144 0.123 0.046 x8
Ho 0.000 0.028 0.250 x4
Ho 0.000 0.271 0.750 x4
Ho 0.000 0.469 0.750 x4
Ho 0.239 0.388 0.230 x8
Tm 0.153 0.382 0.548 x8

Principal peaks in the range 10 to 90 degrees two-theta, in order of rising 2θ:
index	2theta	d_spacing	I (rel.)
2 2 1	30.7	2.908	100.0
2 2 -3	30.8	2.899	34.5
0 4 2	32.6	2.748	15.9
4 0 -2	33.9	2.648	32.2
2 6 -1	38.6	2.332	12.5
0 6 3	49.8	1.832	13.3
4 6 -3	50.6	1.803	8.6
6 2 -1	58.6	1.575	16.0
4 0 2	58.9	1.568	9.6
2 10 -3	67.1	1.395	12.3

---

# 2
Simulated XRD peak list
Compound: Ho12Er3Pu
Radiation: CuKα
Structure: a cell relaxed with PBE
Lines closer than 0.1° are merged.

Atomic structure:
a b c (Å): 5.609 5.609 15.774
angles (deg): 90.00 90.00 90.00
Space group P4/mmm (No. 123)
One atom of each set of equivalent atoms:
Ho 0.000 0.000 0.000 x1
Ho 0.000 0.000 0.242 x2
Ho 0.000 0.000 0.500 x1
Ho 0.000 0.500 0.115 x4
Ho 0.000 0.500 0.370 x4
Er 0.500 0.500 0.240 x2
Er 0.500 0.500 0.500 x1
Pu 0.500 0.500 0.000 x1

Principal peaks in the range 10 to 90 degrees two-theta, in order of rising 2θ:
index	2theta	d_spacing	I (rel.)
2 0 0	32.0	2.799	100.0
2 2 0	45.8	1.983	12.7
0 0 8	46.0	1.972	5.6
3 1 4	56.9	1.618	25.9
2 0 8	57.1	1.613	11.7
4 0 0	66.7	1.402	4.2
2 2 8	66.9	1.398	7.3
4 2 0	75.9	1.254	11.3
1 1 12	76.3	1.248	4.2
4 0 8	84.8	1.143	3.9

---

# 3
Simulated XRD peak list
Compound: ZnCrInSe4
Radiation: CuKα
Structure: a cell relaxed with PBE
Lines closer than 0.1° are merged.

Atomic structure:
a b c (Å): 7.695 7.732 11.043
angles (deg): 90.00 90.00 90.00
Space group Imma (No. 74)
One atom of each set of equivalent atoms:
Zn 0.000 0.250 0.122 x4
Cr 0.250 0.250 0.750 x4
In 0.000 0.000 0.500 x4
Se 0.000 0.025 0.751 x8
Se 0.248 0.250 0.519 x8

Principal peaks in the range 10 to 90 degrees two-theta, in order of rising 2θ:
index	2theta	d_spacing	I (rel.)
1 0 1	14.0	6.321	26.5
1 0 3	26.8	3.321	28.3
1 2 1	27.1	3.295	59.3
2 0 2	28.2	3.162	28.0
0 0 4	32.4	2.761	40.2
2 2 0	32.8	2.727	81.2
2 3 1	43.0	2.103	22.7
2 2 4	46.8	1.940	100.0
0 4 0	47.0	1.933	24.2
4 0 0	47.2	1.924	26.7

---

# 4
Simulated XRD peak list
Compound: Sc2Al6Os
Radiation: CuKα
Structure: a cell relaxed with PBE
Lines closer than 0.1° are merged.

Atomic structure:
a b c (Å): 9.525 5.498 6.077
angles (deg): 90.00 90.13 90.00
Space group C2/m (No. 12)
One atom of each set of equivalent atoms:
Sc 0.166 0.000 0.397 x4
Al 0.085 0.245 0.818 x8
Al 0.170 0.500 0.183 x4
Os 0.000 0.500 0.500 x2

Principal peaks in the range 10 to 90 degrees two-theta, in order of rising 2θ:
index	2theta	d_spacing	I (rel.)
0 0 1	14.6	6.077	67.1
2 0 0	18.6	4.762	86.1
2 0 1	23.7	3.748	70.4
3 1 0	32.6	2.749	40.6
2 0 2	35.0	2.562	51.1
0 2 1	35.9	2.505	100.0
2 2 1	40.7	2.217	57.3
3 1 -2	44.4	2.039	42.4
2 2 -2	48.6	1.875	22.5
1 1 -3	48.9	1.864	30.4

---

# 5
Simulated XRD peak list
Compound: Tb3ErPb5
Radiation: CuKα
Structure: a cell relaxed with PBE
Lines closer than 0.1° are merged.

Atomic structure:
a b c (Å): 9.5469 9.5469 6.5426
angles (deg): 90.00 90.00 120.00
Space group P6_3/mcm (No. 193)
One atom of each set of equivalent atoms:
Tb 0.0000 0.3816 0.2500 x6
Er 0.0000 0.0000 0.0000 x2
Pb 0.0000 0.2859 0.7500 x6
Pb 0.3333 0.6667 0.0000 x4

Principal peaks in the range 10 to 90 degrees two-theta, in order of rising 2θ:
index	2theta	d_spacing	I (rel.)
2 1 1	31.7	2.820	38.8
3 0 0	32.5	2.756	89.0
1 1 2	33.2	2.698	100.0
3 1 1	41.7	2.164	13.4
2 2 2	47.1	1.928	29.9
4 1 2	58.4	1.580	28.9
4 2 1	61.0	1.520	11.5
5 1 1	64.3	1.448	10.9
3 0 4	66.5	1.407	23.4
5 2 2	77.8	1.227	13.3

---

# 6
Simulated XRD peak list
Compound: Ce2ErF8
Radiation: CuKα
Structure: a cell relaxed with PBE
Lines closer than 0.1° are merged.

Atomic structure:
a b c (Å): 14.950 3.996 5.393
angles (deg): 90.00 109.54 90.00
Space group C2/m (No. 12)
One atom of each set of equivalent atoms:
Ce 0.177 0.000 0.199 x4
Er 0.000 0.500 0.500 x2
F 0.024 0.000 0.302 x4
F 0.095 0.500 0.915 x4
F 0.146 0.500 0.455 x4
F 0.220 0.000 0.797 x4

Principal peaks in the range 10 to 90 degrees two-theta, in order of rising 2θ:
index	2theta	d_spacing	I (rel.)
2 0 1	24.8	3.591	74.4
4 0 -1	25.5	3.493	66.4
1 1 -1	27.8	3.210	100.0
3 1 0	29.3	3.044	79.4
2 0 -2	33.2	2.695	26.6
6 0 0	38.3	2.349	27.3
1 1 2	44.5	2.036	43.6
0 2 0	45.4	1.999	73.7
7 1 -1	48.4	1.881	33.8
8 0 -2	52.4	1.746	31.3

---

# 7
Simulated XRD peak list
Compound: K2Rb2CoH6
Radiation: CuKα
Structure: a cell relaxed with PBE
Lines closer than 0.1° are merged.

Atomic structure:
a b c (Å): 6.319 12.504 6.256
angles (deg): 90.00 94.09 90.00
Space group C2/m (No. 12)
One atom of each set of equivalent atoms:
K 0.000 0.126 0.000 x4
Rb 0.000 0.350 0.500 x4
Co 0.000 0.000 0.500 x2
H 0.124 0.090 0.630 x8
H 0.174 0.000 0.331 x4

Principal peaks in the range 10 to 90 degrees two-theta, in order of rising 2θ:
index	2theta	d_spacing	I (rel.)
0 0 1	14.2	6.240	85.1
1 1 -1	20.6	4.318	25.2
1 1 1	21.9	4.053	21.9
1 3 0	25.6	3.477	47.9
2 0 0	28.3	3.151	65.3
0 0 2	28.6	3.121	79.8
1 3 -1	28.9	3.089	100.0
1 3 1	29.9	2.987	95.1
2 0 -2	39.2	2.301	27.3
3 3 1	51.8	1.766	23.7

---

# 8
Simulated XRD peak list
Compound: SmB4Os
Radiation: CuKα
Structure: a cell relaxed with PBE
Lines closer than 0.1° are merged.

Atomic structure:
a b c (Å): 6.037 11.676 3.610
angles (deg): 90.00 90.00 90.00
Space group Pbam (No. 55)
One atom of each set of equivalent atoms:
Sm 0.127 0.150 0.000 x4
B 0.026 0.690 0.500 x4
B 0.111 0.546 0.500 x4
B 0.138 0.969 0.500 x4
B 0.215 0.815 0.500 x4
Os 0.140 0.407 0.000 x4

Principal peaks in the range 10 to 90 degrees two-theta, in order of rising 2θ:
index	2theta	d_spacing	I (rel.)
0 0 1	24.7	3.610	89.1
0 4 0	30.6	2.921	85.5
1 4 0	34.1	2.628	22.5
2 3 0	37.7	2.385	31.8
0 4 1	39.7	2.271	100.0
1 4 1	42.6	2.125	28.9
2 3 1	45.6	1.990	42.8
0 0 2	50.6	1.805	19.2
0 4 2	60.3	1.535	25.8
2 3 2	64.8	1.439	13.4

---

# 9
Simulated XRD peak list
Compound: CeTiBe2N4
Radiation: CuKα
Structure: a cell relaxed with PBE
Lines closer than 0.1° are merged.

Atomic structure:
a b c (Å): 4.974 4.974 6.909
angles (deg): 90.00 90.00 90.00
Space group I-42m (No. 121)
One atom of each set of equivalent atoms:
Ce 0.000 0.000 0.000 x2
Ti 0.000 0.000 0.500 x2
Be 0.000 0.500 0.250 x4
N 0.217 0.217 0.668 x8

Principal peaks in the range 10 to 90 degrees two-theta, in order of rising 2θ:
index	2theta	d_spacing	I (rel.)
1 0 1	22.0	4.037	62.9
1 1 0	25.3	3.517	98.9
0 0 2	25.8	3.454	31.2
2 0 0	36.1	2.487	28.0
1 1 2	36.5	2.465	100.0
2 1 1	42.7	2.118	30.7
2 0 2	44.9	2.018	52.5
2 2 0	52.0	1.759	24.0
3 1 2	65.2	1.432	35.1
2 0 4	65.8	1.419	19.3

---

# 10
Simulated XRD peak list
Compound: CdCo3Ag
Radiation: CuKα
Structure: a cell relaxed with PBE
Lines closer than 0.1° are merged.

Atomic structure:
a b c (Å): 4.660 4.660 4.660
angles (deg): 90.00 90.00 90.00
Space group Pm-3m (No. 221)
One atom of each set of equivalent atoms:
Cd 0.000 0.000 0.000 x1
Co 0.000 0.500 0.500 x3
Ag 0.500 0.500 0.500 x1

Principal peaks in the range 10 to 90 degrees two-theta, in order of rising 2θ:
index	2theta	d_spacing	I (rel.)
1 0 0	19.0	4.660	13.4
1 1 0	27.1	3.295	82.9
1 1 1	33.3	2.691	42.3
2 0 0	38.6	2.330	100.0
2 1 1	47.8	1.903	34.0
2 2 0	55.8	1.648	64.4
3 1 0	63.1	1.474	14.4
3 1 1	66.5	1.405	14.9
2 2 2	69.9	1.345	20.9
3 2 1	76.5	1.246	16.4

---

# 11
Simulated XRD peak list
Compound: La2Pm7
Radiation: CuKα
Structure: a cell relaxed with PBE
Lines closer than 0.1° are merged.

Atomic structure:
a b c (Å): 6.3732 6.3732 8.9666
angles (deg): 90.00 90.00 120.00
Space group P-31m (No. 162)
One atom of each set of equivalent atoms:
La 0.3333 0.6667 0.0000 x2
Pm 0.0000 0.0000 0.0000 x1
Pm 0.0000 0.3322 0.6644 x6

Principal peaks in the range 10 to 90 degrees two-theta, in order of rising 2θ:
index	2theta	d_spacing	I (rel.)
1 1 1	29.8	3.003	100.0
0 0 3	29.9	2.989	32.9
2 -1 2	34.5	2.597	67.4
3 0 0	49.5	1.840	24.3
1 1 4	49.7	1.833	24.0
3 0 3	58.9	1.567	43.3
2 -1 5	59.1	1.563	14.3
2 2 2	61.8	1.501	12.5
4 1 1	80.5	1.194	11.8
5 -1 2	83.0	1.163	10.9